Simulated PXRD pattern
Compound: ReSi2P3O15
Radiation: Cu Kα X-rays
Structure: a structure optimized by DFT (PBE)
Peak positions follow from Bragg's law for the DFT cell and can differ from measured ones.

The 10 most intense peaks (2θ from 10° to 90°), low angle first:
Position (°2θ)	Rel. int.	h k l
13.3	100.0	1 0 0
13.6	58.1	1 0 1
13.9	53.7	1 1 1
17.6	29.5	1 0 -1
22.3	33.0	1 2 0
24.4	29.9	2 1 2
24.6	33.8	1 2 -1
25.7	32.3	1 1 3
26.6	28.9	0 2 -1
30.4	37.3	2 0 -1

Structure:
Cell lengths 8.004, 8.016, 11.086 Å; angles 84.62, 73.08, 60.06 degrees
Space group P-1 (No. 2)
Asymmetric unit:
1 Re 0.026 0.275 0.080
2 Si 0.179 0.662 0.472
3 Si 0.433 0.014 0.651
4 P 0.072 0.974 0.669
5 P 0.181 0.337 0.327
6 P 0.380 0.412 0.671
7 O 0.000 0.500 0.000
8 O 0.033 0.082 0.207
9 O 0.075 0.249 0.430
10 O 0.093 0.859 0.376
11 O 0.103 0.776 0.997
12 O 0.123 0.367 0.206
13 O 0.148 0.527 0.374
14 O 0.207 0.041 0.706
15 O 0.215 0.803 0.571
16 O 0.254 0.538 0.793
17 O 0.269 0.461 0.569
18 O 0.271 0.124 0.997
19 O 0.413 0.183 0.295
20 O 0.425 0.581 0.375
21 O 0.430 0.198 0.705
22 O 0.500 0.000 0.500

---

Simulated PXRD pattern
Compound: BiS5I
Radiation: Cu Kα X-rays
Structure: a structure optimized by DFT (PBE)
Peak positions follow from Bragg's law for the DFT cell and can differ from measured ones.

The 10 most intense peaks (2θ from 10° to 90°), low angle first:
Position (°2θ)	Rel. int.	h k l
15.1	88.5	1 1 0
16.6	54.1	2 0 0
17.4	77.5	0 0 1
21.7	52.9	2 0 -1
25.5	100.0	0 2 0
26.3	66.2	2 0 1
28.1	82.3	3 1 0
30.6	54.1	2 2 0
31.0	71.9	0 2 1
33.7	54.2	2 2 -1

Structure:
Cell lengths 10.860, 7.000, 5.192 Å; angles 90.00, 100.74, 90.00 degrees
Space group Cm (No. 8)
Asymmetric unit:
1 Bi 0.000 0.000 0.000
2 S 0.084 0.148 0.578
3 S 0.250 0.500 0.624
4 S 0.255 0.000 0.261
5 S 0.265 0.500 0.256
6 I 0.403 0.000 0.970

---

Simulated PXRD pattern
Compound: Zr2SO3
Radiation: Cu Kα X-rays
Structure: a structure optimized by DFT (PBE)
Peak positions follow from Bragg's law for the DFT cell and can differ from measured ones.

The 10 most intense peaks (2θ from 10° to 90°), low angle first:
Position (°2θ)	Rel. int.	h k l
28.2	100.0	1 0 1
32.8	10.3	1 1 0
40.1	5.9	1 0 2
46.8	44.4	1 1 2
47.1	24.3	2 0 0
55.3	10.5	1 0 3
55.8	28.1	2 1 1
68.8	7.1	2 2 0
75.5	8.1	2 1 3
87.4	13.0	3 1 2

Structure:
Cell lengths 3.859, 3.859, 5.524 Å; angles 90.00, 90.00, 90.00 degrees
Space group P-4m2 (No. 115)
Asymmetric unit:
1 Zr 0.000 0.500 0.219
2 S 0.500 0.500 0.500
3 O 0.000 0.000 0.000
4 O 0.000 0.000 0.500
5 O 0.500 0.500 0.000

---

Simulated PXRD pattern
Compound: K3Rb5O
Radiation: Cu Kα X-rays
Structure: a structure optimized by DFT (PBE)
Peak positions follow from Bragg's law for the DFT cell and can differ from measured ones.

The 10 most intense peaks (2θ from 10° to 90°), low angle first:
Position (°2θ)	Rel. int.	h k l
11.6	46.6	1 1 -1
18.4	100.0	4 0 -1
18.6	35.0	2 2 1
22.2	40.3	3 1 -2
22.6	46.9	5 1 0
23.2	55.3	2 2 -2
24.5	38.1	4 2 1
24.7	48.1	0 4 0
25.5	45.5	2 2 2
28.6	75.6	5 3 0

Structure:
Cell lengths 20.753, 14.434, 9.408 Å; angles 90.00, 99.46, 90.00 degrees
Space group C2/m (No. 12)
Asymmetric unit:
1 K 0.000 0.000 0.000
2 K 0.000 0.000 0.500
3 K 0.130 0.500 0.337
4 K 0.185 0.000 0.848
5 Rb 0.000 0.285 0.500
6 Rb 0.096 0.500 0.853
7 Rb 0.127 0.191 0.069
8 Rb 0.193 0.000 0.330
9 O 0.129 0.000 0.065

---

Simulated PXRD pattern
Compound: Sn2Bi2Pd7Au
Radiation: Cu Kα X-rays
Structure: a structure optimized by DFT (PBE)
Peak positions follow from Bragg's law for the DFT cell and can differ from measured ones.

The 10 most intense peaks (2θ from 10° to 90°), low angle first:
Position (°2θ)	Rel. int.	h k l
24.4	36.9	1 1 -2
25.9	42.2	1 1 2
31.7	30.5	0 2 0
36.1	28.7	0 2 3
39.1	56.4	0 2 4
39.6	34.0	0 0 7
40.9	44.9	2 0 -5
41.5	48.2	2 0 4
42.8	43.9	0 2 5
45.9	100.0	2 2 -1

Structure:
Cell lengths 5.578, 5.638, 16.024 Å; angles 90.00, 95.85, 90.00 degrees
Space group C2/m (No. 12)
Asymmetric unit:
1 Sn 0.130 0.000 0.415
2 Bi 0.072 0.500 0.248
3 Pd 0.000 0.500 0.000
4 Pd 0.128 0.500 0.425
5 Pd 0.212 0.250 0.870
6 Au 0.000 0.000 0.000

---

Simulated PXRD pattern
Compound: ZrBe2FeRh
Radiation: Cu Kα X-rays
Structure: a structure optimized by DFT (PBE)
Peak positions follow from Bragg's law for the DFT cell and can differ from measured ones.

The 10 most intense peaks (2θ from 10° to 90°), low angle first:
Position (°2θ)	Rel. int.	h k l
21.2	78.9	1 0 0
27.9	21.1	1 0 1
30.2	100.0	1 1 0
36.3	36.7	0 0 2
42.5	25.3	1 0 2
43.3	44.0	2 0 0
47.9	54.0	1 1 2
48.7	17.0	2 1 0
57.7	36.3	2 0 2
82.8	20.5	3 1 2

Structure:
Cell lengths 4.182, 4.182, 4.948 Å; angles 90.00, 90.00, 90.00 degrees
Space group P4/mmm (No. 123)
Asymmetric unit:
1 Zr 0.000 0.000 0.000
2 Be 0.000 0.500 0.500
3 Fe 0.500 0.500 0.000
4 Rh 0.000 0.000 0.500

---

Simulated PXRD pattern
Compound: Pu3Bi4Au3
Radiation: Cu Kα X-rays
Structure: a structure optimized by DFT (PBE)
Peak positions follow from Bragg's law for the DFT cell and can differ from measured ones.

The 10 most intense peaks (2θ from 10° to 90°), low angle first:
Position (°2θ)	Rel. int.	h k l
27.5	15.6	3 0 1
32.6	100.0	3 1 2
39.2	36.4	2 4 0
43.2	14.2	2 2 4
48.6	16.5	1 5 2
56.7	9.6	6 2 0
61.2	11.8	1 6 3
62.7	10.6	4 4 4
65.5	8.3	4 6 0
68.4	8.9	6 4 2

Structure:
Cell lengths 10.272, 10.272, 10.264 Å; angles 90.00, 90.00, 90.00 degrees
Space group I-4 (No. 82)
Asymmetric unit:
1 Pu 0.000 0.000 0.000
2 Pu 0.000 0.500 0.250
3 Pu 0.125 0.250 0.625
4 Bi 0.092 0.158 0.283
5 Bi 0.092 0.342 0.966
6 Au 0.000 0.000 0.500
7 Au 0.000 0.500 0.750
8 Au 0.125 0.749 0.125

---

Simulated PXRD pattern
Compound: TbPm6Dy12
Radiation: Cu Kα X-rays
Structure: a structure optimized by DFT (PBE)
Peak positions follow from Bragg's law for the DFT cell and can differ from measured ones.

The 10 most intense peaks (2θ from 10° to 90°), low angle first:
Position (°2θ)	Rel. int.	h k l
28.9	26.3	1 3 1
29.3	50.7	1 0 4
31.5	59.4	3 1 2
31.6	66.7	0 3 3
32.0	100.0	4 0 1
34.3	40.8	0 4 2
34.4	26.3	2 2 3
34.8	26.2	3 2 1
55.5	25.5	4 4 0
56.9	29.3	4 3 4

Structure:
Cell lengths 13.2494, 13.2494, 12.6332 Å; angles 90.00, 90.00, 120.00 degrees
Space group R-3m (No. 166, hexagonal axes)
Asymmetric unit:
1 Tb 0.0000 0.0000 0.0000
2 Pm 0.0398 0.5199 0.6168
3 Dy 0.0000 0.2576 0.5000
4 Dy 0.0910 0.1821 0.2645